This entry pairs a crystal structure of NaCdRh4O8 with its simulated powder X-ray diffraction pattern. Radiation: a wavelength of 1.5418 Å. Structure: the PBE geometry in the Materials Project.
Neutral-atom scattering factors, no anomalous dispersion.

The 10 most intense peaks (5° ≤ 2θ ≤ 70°), in order of rising 2θ:
two_theta, d/Å, I/Imax
19.3, 4.595, 22
30.4, 2.943, 19
32.7, 2.740, 55
33.4, 2.684, 59
33.6, 2.664, 54
34.6, 2.593, 100
34.9, 2.573, 45
48.7, 1.871, 33
49.3, 1.847, 21
59.5, 1.553, 37

Cell and atoms:
a b c (Å): 9.1903 3.1057 10.9605
angles (deg): 90.00 90.48 90.00
Sites, in units of the cell vectors:
Na  0.2362  0.2500  0.1587
Na  0.7638  0.7500  0.8413
Cd  0.2628  0.7500  0.6616
Cd  0.7372  0.2500  0.3384
Rh  0.0578  0.2500  0.3828
Rh  0.0878  0.2500  0.9010
Rh  0.4079  0.7500  0.3994
Rh  0.4484  0.7500  0.8840
Rh  0.5516  0.2500  0.1160
Rh  0.5921  0.2500  0.6006
Rh  0.9122  0.7500  0.0990
Rh  0.9422  0.7500  0.6172
O  0.0452  0.7500  0.7860
O  0.0856  0.2500  0.5699
O  0.1140  0.7500  0.0236
O  0.1940  0.7500  0.3385
O  0.3029  0.2500  0.8358
O  0.3834  0.2500  0.5285
O  0.4167  0.7500  0.0684
O  0.4658  0.2500  0.2909
O  0.5342  0.7500  0.7091
O  0.5833  0.2500  0.9316
O  0.6166  0.7500  0.4715
O  0.6971  0.7500  0.1642
O  0.8060  0.2500  0.6615
O  0.8860  0.2500  0.9764
O  0.9144  0.7500  0.4301
O  0.9548  0.2500  0.2140